V2Cu3Bi4O14: calculated PXRD pattern (CuKα), based on DFT lattice parameters and positions (GGA+U).

Largest 10 diffraction maxima, in order of falling intensity, 5° ≤ 2θ ≤ 70°:
h k l, 2theta, d (Å), I (rel.)
0 0 1, 11.80, 7.499, 100
1 2 -2, 30.42, 2.939, 89
1 1 1, 29.05, 3.074, 89
-1 1 2, 29.53, 3.025, 85
1 -2 1, 29.19, 3.059, 76
2 0 -1, 33.59, 2.668, 64
1 -2 2, 35.37, 2.538, 51
-1 1 1, 22.06, 4.030, 42
1 -1 1, 24.01, 3.706, 42
0 3 -3, 42.22, 2.141, 41

Structure:
```
V2Cu3Bi4O14
1.0
5.3425 0.0000 0.0000
-0.2440 8.0810 0.0000
-2.3377 -2.3633 7.4985
V Cu Bi O
2 3 4 14
Direct
0.1721 0.2519 0.4265
0.8279 0.7481 0.5735
0.0000 0.0000 0.0000
0.4277 0.0117 0.7702
0.5723 0.9883 0.2298
0.0835 0.7009 0.2040
0.4492 0.6425 0.8520
0.5508 0.3575 0.1480
0.9165 0.2991 0.7960
0.1633 0.8163 0.6225
0.2078 0.3958 0.3098
0.2163 0.1357 0.9153
0.2462 0.4977 0.0017
0.2633 0.8440 0.0508
0.2922 0.3482 0.6616
0.3334 0.0738 0.3663
0.6666 0.9262 0.6337
0.7078 0.6518 0.3384
0.7367 0.1560 0.9492
0.7538 0.5023 0.9983
0.7837 0.8643 0.0847
0.7922 0.6042 0.6902
0.8367 0.1837 0.3775
```